Computed powder XRD pattern
Compound: In2Mo2O7
Radiation: Cu Kα X-rays
Structure: a PBE+U-relaxed structure

Structural model:
a b c (Å): 10.3305 10.3305 10.3305
angles (deg): 90.00 90.00 90.00
Space group Fd-3m (No. 227, origin choice 2)
Symmetry-distinct sites (fractional):
In 0.0000 0.0000 0.0000 x16
Mo 0.0000 0.0000 0.5000 x16
O 0.0872 0.3750 0.8750 x48
O 0.1250 0.1250 0.1250 x8

Principal peaks in the range 15° ≤ 2θ ≤ 90°, in order of rising 2θ:
d = 2.982 Å, I = 100.0; d = 2.583 Å, I = 29.1; d = 2.370 Å, I = 2.6; d = 1.988 Å, I = 0.9; d = 1.826 Å, I = 48.7; d = 1.557 Å, I = 40.8; d = 1.491 Å, I = 8.7; d = 1.291 Å, I = 6.8; d = 1.185 Å, I = 16.6; d = 1.155 Å, I = 12.7